(1)
# SnMo12PbS16
Simulated powder diffractogram, a wavelength of 1.5418 Å. Input: a DFT-relaxed cell (GGA-PBE, the Materials Project).

Most intense lines, 10 to 90 degrees two-theta, sorted by position:
2θ 13.5, d = 6.578 Å, intensity 100.0
2θ 19.0, d = 4.683 Å, intensity 86.3
2θ 19.2, d = 4.621 Å, intensity 75.0
2θ 30.6, d = 2.923 Å, intensity 73.8
2θ 41.4, d = 2.180 Å, intensity 93.1
2θ 45.9, d = 1.978 Å, intensity 77.1

Cell lengths 6.5640, 6.5697, 13.2125 Å; angles 89.28, 89.17, 89.24 degrees
Fractional positions:
Sn 0.0000 0.0000 0.0000
Mo 0.2260 0.4143 0.2805
Mo 0.2267 0.4152 0.7814
Mo 0.4136 0.5618 0.1115
Mo 0.4137 0.5624 0.6120
Mo 0.4371 0.7726 0.2918
Mo 0.4383 0.7732 0.7925
Mo 0.5617 0.2268 0.2075
Mo 0.5629 0.2274 0.7082
Mo 0.5863 0.4376 0.3880
Mo 0.5864 0.4382 0.8885
Mo 0.7733 0.5848 0.2186
Mo 0.7740 0.5857 0.7195
Pb 0.0000 0.0000 0.5000
S 0.1265 0.7423 0.1902
S 0.1271 0.7411 0.6916
S 0.2414 0.2430 0.1209
S 0.2432 0.2446 0.6222
S 0.2604 0.6158 0.4364
S 0.2597 0.6183 0.9368
S 0.3812 0.1278 0.8714
S 0.3834 0.1274 0.3705
S 0.6166 0.8726 0.6295
S 0.6188 0.8722 0.1286
S 0.7403 0.3817 0.0632
S 0.7396 0.3842 0.5636
S 0.7568 0.7554 0.3778
S 0.7586 0.7570 0.8791
S 0.8729 0.2589 0.3084
S 0.8735 0.2577 0.8098



(2)
# HoBiPd
Simulated powder diffractogram, a wavelength of 1.5418 Å. Input: a DFT-relaxed cell (GGA-PBE, the Materials Project).

Most intense lines, 10 to 90 degrees two-theta, sorted by position:
2θ 22.9, d = 3.875 Å, intensity 14.7
2θ 26.6, d = 3.356 Å, intensity 37.1
2θ 37.9, d = 2.373 Å, intensity 100.0
2θ 54.7, d = 1.678 Å, intensity 17.5
2θ 61.8, d = 1.501 Å, intensity 15.0
2θ 68.5, d = 1.370 Å, intensity 35.8

Cell lengths 4.7462, 4.7462, 4.7462 Å; angles 60.00, 60.00, 60.00 degrees
Fractional positions:
Ho 0.0000 0.0000 0.0000
Bi 0.5000 0.5000 0.5000
Pd 0.7500 0.7500 0.7500



(3)
# RbUO3
Simulated powder diffractogram, a wavelength of 1.5418 Å. Input: a DFT-relaxed cell (GGA-PBE, the Materials Project).

Most intense lines, 10 to 90 degrees two-theta, sorted by position:
2θ 20.4, d = 4.361 Å, intensity 32.3
2θ 29.0, d = 3.084 Å, intensity 100.0
2θ 41.4, d = 2.181 Å, intensity 28.6
2θ 51.3, d = 1.780 Å, intensity 42.5
2θ 68.0, d = 1.379 Å, intensity 19.1
2θ 82.8, d = 1.166 Å, intensity 23.4

Cell lengths 4.3612, 4.3612, 4.3612 Å; angles 90.00, 90.00, 90.00 degrees
Fractional positions:
Rb 0.0000 0.0000 0.0000
U 0.5000 0.5000 0.5000
O 0.0000 0.5000 0.5000
O 0.5000 0.0000 0.5000
O 0.5000 0.5000 0.0000